Computed X-ray diffraction stick pattern of Nd3Zn3Au8 for a wavelength of 1.5418 Å, from a structure optimized by DFT (GGA-PBE).
Intensities are scaled so that the largest is 100.

Main lines, most intense first (10 to 80 degrees two-theta):
| two_theta | intensity | index |
| --- | --- | --- |
| 33.97 | 100 | 5 1 -2 |
| 38.25 | 78 | 0 2 0 |
| 33.79 | 45 | 3 1 1 |
| 33.59 | 45 | 1 1 2 |
| 44.70 | 39 | 7 1 -3 |
| 37.56 | 39 | 1 1 -3 |
| 35.27 | 30 | 3 1 -3 |
| 38.10 | 30 | 5 1 0 |

Crystal structure
a b c (Å): 16.2825 4.7058 9.0779
angles (deg): 90.00 123.01 90.00
Space group C2/m (No. 12)
Symmetry-distinct sites (fractional):
Nd: 0.0000 0.0000 0.0000 x2
Nd: 0.2061 0.5000 0.7196 x4
Zn: 0.0000 0.0000 0.5000 x2
Zn: 0.1693 0.5000 0.3300 x4
Au: 0.0051 0.5000 0.3302 x4
Au: 0.1304 0.0000 0.8409 x4
Au: 0.1372 0.0000 0.4244 x4
Au: 0.1533 0.5000 0.0349 x4